(1)
Structure and simulated X-ray diffraction stick pattern of BaSrCdAsP (a GGA-PBE-relaxed structure; Cu Kα X-rays).
Intensities are scaled so that the largest is 100.

Atomic structure:
Cell: 8.662 8.662 8.046 Å, 90.00 90.00 150.08°
Fractional positions:
Ba: 0.045 0.955 0.500
Ba: 0.955 0.045 0.000
Sr: 0.208 0.792 0.858
Sr: 0.792 0.208 0.358
Cd: 0.399 0.601 0.647
Cd: 0.601 0.399 0.147
As: 0.434 0.566 0.303
As: 0.566 0.434 0.803
P: 0.179 0.821 0.229
P: 0.821 0.179 0.729

Main lines, in order of rising 2θ (10 to 90 degrees two-theta):
10.6°, intensity 44; 24.6°, intensity 19; 27.9°, intensity 100; 30.4°, intensity 61; 33.4°, intensity 48; 34.0°, intensity 53; 35.1°, intensity 38; 35.3°, intensity 20; 40.3°, intensity 34; 54.5°, intensity 21

(2)
Structure and simulated X-ray diffraction stick pattern of Cs2PtS6O18F6 (a GGA-PBE-relaxed structure; Cu Kα X-rays).
Intensities are scaled so that the largest is 100.

Atomic structure:
Cell: 8.967 8.967 7.188 Å, 90.00 90.00 120.00°
Fractional positions:
Cs: 0.333 0.667 0.310
Cs: 0.667 0.333 0.690
Pt: 0.000 0.000 0.000
S: 0.152 0.354 0.759
S: 0.202 0.848 0.759
S: 0.354 0.152 0.241
S: 0.646 0.798 0.759
S: 0.798 0.646 0.241
S: 0.848 0.202 0.241
O: 0.013 0.347 0.282
O: 0.042 0.852 0.814
O: 0.148 0.190 0.814
O: 0.150 0.705 0.636
O: 0.190 0.148 0.186
O: 0.295 0.445 0.636
O: 0.334 0.987 0.282
O: 0.347 0.013 0.718
O: 0.445 0.295 0.364
O: 0.555 0.850 0.636
O: 0.653 0.666 0.282
O: 0.666 0.653 0.718
O: 0.705 0.150 0.364
O: 0.810 0.958 0.814
O: 0.850 0.555 0.364
O: 0.852 0.042 0.186
O: 0.958 0.810 0.186
O: 0.987 0.334 0.718
F: 0.209 0.458 0.951
F: 0.249 0.791 0.951
F: 0.458 0.209 0.049
F: 0.542 0.751 0.951
F: 0.751 0.542 0.049
F: 0.791 0.249 0.049

Main lines, in order of rising 2θ (10 to 90 degrees two-theta):
16.8°, intensity 85; 19.8°, intensity 50; 26.1°, intensity 100; 27.3°, intensity 25; 33.0°, intensity 47; 34.0°, intensity 29; 39.6°, intensity 36; 40.2°, intensity 18; 42.8°, intensity 18; 43.9°, intensity 20

(3)
Structure and simulated X-ray diffraction stick pattern of Nd2Si2BrCl (a GGA-PBE-relaxed structure; Cu Kα X-rays).
Intensities are scaled so that the largest is 100.

Atomic structure:
Cell: 4.111 4.111 11.180 Å, 90.00 90.00 120.00°
Fractional positions:
Nd: 0.000 0.000 0.000
Nd: 0.000 0.000 0.360
Si: 0.333 0.667 0.187
Si: 0.667 0.333 0.173
Br: 0.667 0.333 0.529
Cl: 0.333 0.667 0.849

Main lines, in order of rising 2θ (10 to 90 degrees two-theta):
15.9°, intensity 26; 25.0°, intensity 36; 26.3°, intensity 37; 29.7°, intensity 52; 34.9°, intensity 100; 44.1°, intensity 41; 48.0°, intensity 17; 57.4°, intensity 23; 67.9°, intensity 18; 75.0°, intensity 21